No. 1
Structure and computed powder XRD pattern of Y2Ho3In4 (a DFT-relaxed cell (GGA-PBE, Alexandria); Cu Kα).
Kinematic intensities with the Lorentz-polarization factor, no thermal factor.

Largest 10 diffraction maxima, in order of rising 2θ, 2θ from 10° to 90°:
| Position (°2θ) | intensity |
| --- | --- |
| 32.81 | 100 |
| 34.11 | 94 |
| 48.05 | 34 |
| 57.72 | 18 |
| 60.24 | 34 |
| 61.06 | 17 |
| 68.78 | 10 |
| 71.83 | 10 |
| 79.02 | 10 |
| 81.20 | 10 |

Structural model:
abc: 9.102 5.260 10.234
angles: 90.00 90.07 90.00
Space group C2/m (No. 12)
Asymmetric unit:
Y (0.167, 0.000, 0.277) (multiplicity 4)
Ho (0.000, 0.500, 0.500) (multiplicity 2)
Ho (0.167, 0.000, 0.926) (multiplicity 4)
In (0.000, 0.500, 0.154) (multiplicity 4)
In (0.167, 0.000, 0.601) (multiplicity 4)

***

No. 2
Structure and computed powder XRD pattern of Ho3Zn9In2 (a DFT-relaxed cell (GGA-PBE, Alexandria); Cu Kα).
Kinematic intensities with the Lorentz-polarization factor, no thermal factor.

Largest 10 diffraction maxima, in order of rising 2θ, 2θ from 10° to 90°:
| Position (°2θ) | intensity |
| --- | --- |
| 34.83 | 100 |
| 34.89 | 20 |
| 36.01 | 18 |
| 37.57 | 21 |
| 41.75 | 28 |
| 42.12 | 16 |
| 55.51 | 11 |
| 60.80 | 10 |
| 67.63 | 13 |
| 71.76 | 12 |

Structural model:
abc: 4.327 9.636 12.873
angles: 90.00 90.00 90.00
Space group Immm (No. 71)
Asymmetric unit:
Ho (0.000, 0.000, 0.000) (multiplicity 2)
Ho (0.000, 0.000, 0.296) (multiplicity 4)
Zn (0.000, 0.273, 0.150) (multiplicity 8)
Zn (0.000, 0.371, 0.338) (multiplicity 8)
Zn (0.000, 0.500, 0.000) (multiplicity 2)
In (0.000, 0.197, 0.500) (multiplicity 4)

***

No. 3
Structure and computed powder XRD pattern of Ho2Zn3In2 (a DFT-relaxed cell (GGA-PBE, Alexandria); Cu Kα).
Kinematic intensities with the Lorentz-polarization factor, no thermal factor.

Largest 10 diffraction maxima, in order of rising 2θ, 2θ from 10° to 90°:
| Position (°2θ) | intensity |
| --- | --- |
| 31.54 | 30 |
| 33.74 | 90 |
| 35.63 | 100 |
| 35.83 | 36 |
| 36.85 | 20 |
| 40.43 | 37 |
| 43.34 | 32 |
| 60.73 | 32 |
| 67.15 | 30 |
| 70.37 | 27 |

Structural model:
abc: 4.462 21.373 3.347
angles: 90.00 90.00 90.00
Space group Cmmm (No. 65)
Asymmetric unit:
Ho (0.000, 0.140, 0.000) (multiplicity 4)
Zn (0.000, 0.000, 0.000) (multiplicity 2)
Zn (0.000, 0.438, 0.500) (multiplicity 4)
In (0.000, 0.291, 0.500) (multiplicity 4)

***

No. 4
Structure and computed powder XRD pattern of Ho2Zn5In (a DFT-relaxed cell (GGA-PBE, Alexandria); Cu Kα).
Kinematic intensities with the Lorentz-polarization factor, no thermal factor.

Largest 10 diffraction maxima, in order of rising 2θ, 2θ from 10° to 90°:
| Position (°2θ) | intensity |
| --- | --- |
| 29.09 | 34 |
| 33.12 | 100 |
| 34.67 | 80 |
| 36.71 | 42 |
| 38.87 | 21 |
| 39.74 | 21 |
| 41.86 | 45 |
| 45.06 | 22 |
| 63.18 | 16 |
| 67.95 | 17 |

Structural model:
abc: 4.316 16.171 9.073
angles: 90.00 90.00 90.00
Space group Cmcm (No. 63)
Asymmetric unit:
Ho (0.000, 0.000, 0.000) (multiplicity 4)
Ho (0.000, 0.202, 0.250) (multiplicity 4)
Zn (0.000, 0.189, 0.609) (multiplicity 8)
Zn (0.000, 0.347, 0.519) (multiplicity 8)
Zn (0.000, 0.390, 0.250) (multiplicity 4)
In (0.000, 0.448, 0.750) (multiplicity 4)

***

No. 5
Structure and computed powder XRD pattern of Ho6ZnIn5 (a DFT-relaxed cell (GGA-PBE, Alexandria); Cu Kα).
Kinematic intensities with the Lorentz-polarization factor, no thermal factor.

Largest 10 diffraction maxima, in order of rising 2θ, 2θ from 10° to 90°:
| Position (°2θ) | intensity |
| --- | --- |
| 33.98 | 51 |
| 34.20 | 100 |
| 48.82 | 18 |
| 49.47 | 9 |
| 60.95 | 37 |
| 61.37 | 18 |
| 72.04 | 11 |
| 81.59 | 8 |
| 81.72 | 8 |
| 82.71 | 8 |

Structural model:
abc: 5.276 15.832 7.370
angles: 90.00 90.00 90.00
Space group Cmmm (No. 65)
Asymmetric unit:
Ho (0.000, 0.000, 0.243) (multiplicity 4)
Ho (0.000, 0.337, 0.246) (multiplicity 8)
Zn (0.000, 0.500, 0.000) (multiplicity 2)
In (0.000, 0.166, 0.000) (multiplicity 4)
In (0.000, 0.168, 0.500) (multiplicity 4)
In (0.000, 0.500, 0.500) (multiplicity 2)

***

No. 6
Structure and computed powder XRD pattern of Ho2Zn6In (a DFT-relaxed cell (GGA-PBE, Alexandria); Cu Kα).
Kinematic intensities with the Lorentz-polarization factor, no thermal factor.

Largest 10 diffraction maxima, in order of rising 2θ, 2θ from 10° to 90°:
| Position (°2θ) | intensity |
| --- | --- |
| 30.83 | 32 |
| 34.49 | 73 |
| 35.43 | 89 |
| 39.00 | 100 |
| 50.05 | 15 |
| 57.20 | 20 |
| 57.84 | 26 |
| 64.22 | 26 |
| 68.92 | 24 |
| 75.54 | 16 |

Structural model:
abc: 5.8014 5.8014 5.8672
angles: 90.00 90.00 120.00
Space group P-3m1 (No. 164)
Asymmetric unit:
Ho (0.3333, 0.6667, 0.3520) (multiplicity 2)
Zn (0.1832, 0.3663, 0.8466) (multiplicity 6)
In (0.0000, 0.0000, 0.5000) (multiplicity 1)

***

No. 7
Structure and computed powder XRD pattern of Ho3ZnIn (a DFT-relaxed cell (GGA-PBE, Alexandria); Cu Kα).
Kinematic intensities with the Lorentz-polarization factor, no thermal factor.

Largest 10 diffraction maxima, in order of rising 2θ, 2θ from 10° to 90°:
| Position (°2θ) | intensity |
| --- | --- |
| 25.87 | 16 |
| 31.45 | 100 |
| 34.44 | 19 |
| 35.61 | 14 |
| 43.29 | 12 |
| 44.54 | 21 |
| 45.62 | 24 |
| 56.46 | 13 |
| 59.17 | 12 |
| 61.38 | 15 |

Structural model:
abc: 7.9547 7.9547 5.0423
angles: 90.00 90.00 120.00
Space group P6_3/mmc (No. 194)
Asymmetric unit:
Ho (0.1901, 0.3802, 0.2500) (multiplicity 6)
Zn (0.0000, 0.0000, 0.0000) (multiplicity 2)
In (0.3333, 0.6667, 0.7500) (multiplicity 2)

***

No. 8
Structure and computed powder XRD pattern of HoZr5In3 (a DFT-relaxed cell (GGA-PBE, Alexandria); Cu Kα).
Kinematic intensities with the Lorentz-polarization factor, no thermal factor.

Largest 10 diffraction maxima, in order of rising 2θ, 2θ from 10° to 90°:
| Position (°2θ) | intensity |
| --- | --- |
| 35.08 | 100 |
| 35.53 | 89 |
| 46.16 | 7 |
| 50.80 | 31 |
| 60.17 | 7 |
| 62.94 | 17 |
| 63.23 | 32 |
| 71.60 | 24 |
| 74.14 | 11 |
| 85.01 | 14 |

Structural model:
abc: 8.8603 8.8603 6.1513
angles: 90.00 90.00 120.00
Space group P6_3/mcm (No. 193)
Asymmetric unit:
Ho (0.0000, 0.0000, 0.0000) (multiplicity 2)
Zr (0.0000, 0.3428, 0.2500) (multiplicity 6)
Zr (0.3333, 0.6667, 0.0000) (multiplicity 4)
In (0.0000, 0.3307, 0.7500) (multiplicity 6)

***

No. 9
Structure and computed powder XRD pattern of HoZr4In5 (a DFT-relaxed cell (GGA-PBE, Alexandria); Cu Kα).
Kinematic intensities with the Lorentz-polarization factor, no thermal factor.

Largest 10 diffraction maxima, in order of rising 2θ, 2θ from 10° to 90°:
| Position (°2θ) | intensity |
| --- | --- |
| 31.22 | 25 |
| 31.46 | 40 |
| 32.64 | 42 |
| 33.54 | 100 |
| 33.97 | 44 |
| 34.82 | 27 |
| 35.49 | 31 |
| 36.34 | 23 |
| 37.78 | 20 |
| 40.74 | 22 |

Structural model:
abc: 7.513 8.857 7.417
angles: 90.00 90.00 90.00
Space group Pmmn (No. 59, origin choice 2)
Asymmetric unit:
Ho (0.250, 0.250, 0.056) (multiplicity 2)
Zr (0.070, 0.750, 0.546) (multiplicity 4)
Zr (0.250, 0.070, 0.508) (multiplicity 4)
In (0.033, 0.548, 0.192) (multiplicity 8)
In (0.250, 0.750, 0.913) (multiplicity 2)

***

No. 10
Structure and computed powder XRD pattern of Ho3Ir (a DFT-relaxed cell (GGA-PBE, Alexandria); Cu Kα).
Kinematic intensities with the Lorentz-polarization factor, no thermal factor.

Largest 10 diffraction maxima, in order of rising 2θ, 2θ from 10° to 90°:
| Position (°2θ) | intensity |
| --- | --- |
| 31.36 | 100 |
| 32.69 | 40 |
| 34.51 | 23 |
| 35.08 | 55 |
| 36.73 | 37 |
| 39.54 | 17 |
| 44.52 | 32 |
| 53.32 | 15 |
| 56.28 | 14 |
| 64.42 | 18 |

Structural model:
abc: 11.623 11.623 6.092
angles: 90.00 90.00 90.00
Space group I-4 (No. 82)
Asymmetric unit:
Ho (0.000, 0.142, 0.250) (multiplicity 8)
Ho (0.095, 0.404, 0.996) (multiplicity 8)
Ho (0.203, 0.296, 0.554) (multiplicity 8)
Ir (0.000, 0.208, 0.750) (multiplicity 8)

***

No. 11
Structure and computed powder XRD pattern of Ho3Ir (a DFT-relaxed cell (GGA-PBE, Alexandria); Cu Kα).
Kinematic intensities with the Lorentz-polarization factor, no thermal factor.

Largest 10 diffraction maxima, in order of rising 2θ, 2θ from 10° to 90°:
| Position (°2θ) | intensity |
| --- | --- |
| 30.58 | 58 |
| 31.46 | 51 |
| 33.03 | 20 |
| 34.87 | 83 |
| 35.20 | 38 |
| 36.08 | 30 |
| 37.89 | 100 |
| 39.95 | 24 |
| 58.64 | 26 |
| 68.97 | 19 |

Structural model:
abc: 11.507 11.507 6.266
angles: 90.00 90.00 90.00
Space group P4_2/n (No. 86, origin choice 2)
Asymmetric unit:
Ho (0.034, 0.593, 0.202) (multiplicity 8)
Ho (0.115, 0.665, 0.693) (multiplicity 8)
Ho (0.116, 0.194, 0.026) (multiplicity 8)
Ir (0.054, 0.185, 0.512) (multiplicity 8)

***

No. 12
Structure and computed powder XRD pattern of La3HoIr (a DFT-relaxed cell (GGA-PBE, Alexandria); Cu Kα).
Kinematic intensities with the Lorentz-polarization factor, no thermal factor.

Largest 10 diffraction maxima, in order of rising 2θ, 2θ from 10° to 90°:
| Position (°2θ) | intensity |
| --- | --- |
| 15.63 | 25 |
| 22.17 | 38 |
| 27.24 | 50 |
| 31.55 | 100 |
| 38.90 | 18 |
| 45.23 | 74 |
| 53.60 | 23 |
| 56.19 | 26 |
| 74.88 | 33 |
| 83.52 | 25 |

Structural model:
abc: 5.671 5.671 5.671
angles: 90.00 90.00 90.00
Space group Pm-3m (No. 221)
Asymmetric unit:
La (0.000, 0.000, 0.500) (multiplicity 3)
Ho (0.500, 0.500, 0.500) (multiplicity 1)
Ir (0.000, 0.000, 0.000) (multiplicity 1)